For PrW2O6, a crystal structure in Alexandria, relaxed with PBE+U gives the calculated powder diffraction line list in this record (λ = 1.5418 Å (Cu Kα)).
Lines closer than 0.1° are merged.

Structure:
```
PrW2O6
1.0
5.5602 0.0000 0.0000
-0.0007 5.7119 0.0000
-0.0580 -0.0678 7.9665
Pr W O
2 4 12
direct
0.0000 0.0000 0.0000
0.4979 0.3951 0.4985
0.0085 0.4572 0.7488
0.0090 0.4579 0.2475
0.5079 0.9427 0.7505
0.5114 0.9411 0.2516
0.0720 0.4261 0.0002
0.2302 0.1715 0.2827
0.2332 0.1740 0.7141
0.2931 0.6440 0.2946
0.3186 0.6657 0.7051
0.4211 0.9341 0.9988
0.5737 0.9727 0.5006
0.7222 0.2133 0.7853
0.7411 0.2393 0.2199
0.8072 0.7461 0.7969
0.8084 0.7456 0.2037
0.9201 0.4666 0.4993
```

Most intense lines, 10 to 90 degrees two-theta, by angle:
hkl	Position (°2θ)	intensity
1 1 0	22.32	100.0
0 2 0	31.32	44.5
1 1 -2	31.59	47.4
1 -1 2	31.77	93.0
1 1 2	31.95	45.1
2 0 0	32.20	44.9
0 0 4	45.54	72.4
0 2 -4	56.11	17.7
2 0 -4	56.61	19.9
-3 1 2	57.06	20.3